[1]
Structure and simulated powder XRD pattern of CeAl4Pt2 (a DFT-relaxed cell (GGA-PBE, Alexandria); Cu Ka).
Lines closer than 0.1° are merged.

```
data_CeAl4Pt2
_chemical_formula_sum 'Ce4 Al16 Pt8'
_symmetry_space_group_name_H-M 'P n m a'
_symmetry_Int_Tables_number 62
_cell_length_a 17.2760
_cell_length_b 4.3267
_cell_length_c 6.6841
_cell_angle_alpha 90.00
_cell_angle_beta 90.00
_cell_angle_gamma 90.00
loop_
_symmetry_equiv_pos_as_xyz
'x,y,z'
'-x,-y,-z'
'-x+1/2,-y,z+1/2'
'x+1/2,y,-z+1/2'
'x+1/2,-y+1/2,-z+1/2'
'-x+1/2,y+1/2,z+1/2'
'-x,y+1/2,-z'
'x,-y+1/2,z'
loop_
_atom_site_label
_atom_site_type_symbol
_atom_site_fract_x
_atom_site_fract_y
_atom_site_fract_z
Ce1 Ce 0.1381 0.2500 0.0124
Al1 Al 0.0351 0.7500 0.8344
Al2 Al 0.0708 0.2500 0.4919
Al3 Al 0.1849 0.7500 0.3267
Al4 Al 0.1927 0.7500 0.7268
Pt1 Pt 0.0376 0.7500 0.2448
Pt2 Pt 0.2174 0.2500 0.5297
```

The 10 most intense peaks (10° ≤ 2θ ≤ 80°), low angle first:
2theta	I (rel.)	h k l
24.52	65	0 1 1
28.64	74	2 0 2
29.08	73	5 0 1
29.22	53	4 1 0
35.50	100	2 1 2
35.87	60	5 1 1
38.90	40	7 0 1
41.75	52	0 2 0
46.63	33	6 1 2
47.05	48	8 1 0

***

[2]
Structure and simulated powder XRD pattern of CeAl4Pt8 (a DFT-relaxed cell (GGA-PBE, Alexandria); Cu Ka).
Lines closer than 0.1° are merged.

```
data_CeAl4Pt8
_chemical_formula_sum 'Ce2 Al8 Pt16'
_symmetry_space_group_name_H-M 'I 4/m m m'
_symmetry_Int_Tables_number 139
_symmetry_space_group_name_Hall '-I 4 2'
_cell_length_a 8.7939
_cell_length_b 8.7939
_cell_length_c 5.4814
_cell_angle_alpha 90.00
_cell_angle_beta 90.00
_cell_angle_gamma 90.00
loop_
_atom_site_label
_atom_site_type_symbol
_atom_site_fract_x
_atom_site_fract_y
_atom_site_fract_z
Ce1 Ce 0.0000 0.0000 0.0000
Al1 Al 0.2500 0.2500 0.2500
Pt1 Pt 0.0000 0.2269 0.5000
Pt2 Pt 0.0000 0.3294 0.0000
```

The 10 most intense peaks (10° ≤ 2θ ≤ 80°), low angle first:
2theta	I (rel.)	h k l
28.71	71	2 2 0
32.67	77	0 0 2
34.70	50	3 0 1
40.48	100	3 2 1
41.06	47	4 0 0
44.04	70	2 2 2
45.64	34	4 1 1
53.43	29	4 0 2
63.63	27	3 2 3
74.41	41	6 3 1

***

[3]
Structure and simulated powder XRD pattern of CeAlPt2 (a DFT-relaxed cell (GGA-PBE, Alexandria); Cu Ka).
Lines closer than 0.1° are merged.

```
data_CeAlPt2
_chemical_formula_sum 'Ce4 Al4 Pt8'
_symmetry_space_group_name_H-M 'P n m a'
_symmetry_Int_Tables_number 62
_cell_length_a 7.3993
_cell_length_b 6.9900
_cell_length_c 5.9561
_cell_angle_alpha 90.00
_cell_angle_beta 90.00
_cell_angle_gamma 90.00
loop_
_symmetry_equiv_pos_as_xyz
'x,y,z'
'-x,-y,-z'
'-x+1/2,-y,z+1/2'
'x+1/2,y,-z+1/2'
'x+1/2,-y+1/2,-z+1/2'
'-x+1/2,y+1/2,z+1/2'
'-x,y+1/2,-z'
'x,-y+1/2,z'
loop_
_atom_site_label
_atom_site_type_symbol
_atom_site_fract_x
_atom_site_fract_y
_atom_site_fract_z
Ce1 Ce 0.0280 0.2500 0.1589
Al1 Al 0.1152 0.7500 0.3441
Pt1 Pt 0.1858 0.0499 0.5788
```

The 10 most intense peaks (10° ≤ 2θ ≤ 80°), low angle first:
2theta	I (rel.)	h k l
31.20	49	2 1 1
32.06	62	1 2 1
32.41	93	1 0 2
34.92	57	1 1 2
35.33	100	2 2 0
38.52	37	2 2 1
39.55	92	3 0 1
41.66	95	0 3 1
43.46	70	1 3 1
63.15	35	3 3 2

***

[4]
Structure and simulated powder XRD pattern of Ce2Al5Pt3 (a DFT-relaxed cell (GGA-PBE, Alexandria); Cu Ka).
Lines closer than 0.1° are merged.

```
data_Ce2Al5Pt3
_chemical_formula_sum 'Ce8 Al20 Pt12'
_symmetry_space_group_name_H-M 'C m c 21'
_symmetry_Int_Tables_number 36
_cell_length_a 4.3688
_cell_length_b 25.0291
_cell_length_c 6.8315
_cell_angle_alpha 90.00
_cell_angle_beta 90.00
_cell_angle_gamma 90.00
loop_
_symmetry_equiv_pos_as_xyz
'x,y,z'
'-x,-y,z+1/2'
'-x,y,z'
'x,-y,z+1/2'
'x+1/2,y+1/2,z'
'-x+1/2,-y+1/2,z+1/2'
'-x+1/2,y+1/2,z'
'x+1/2,-y+1/2,z+1/2'
loop_
_atom_site_label
_atom_site_type_symbol
_atom_site_fract_x
_atom_site_fract_y
_atom_site_fract_z
Ce1 Ce 0.0000 0.0190 0.0000
Ce2 Ce 0.0000 0.3267 0.9608
Al1 Al 0.0000 0.1023 0.6456
Al2 Al 0.0000 0.2070 0.1417
Al3 Al 0.0000 0.2110 0.7454
Al4 Al 0.0000 0.3737 0.4872
Al5 Al 0.0000 0.4457 0.8283
Pt1 Pt 0.0000 0.1079 0.2493
Pt2 Pt 0.0000 0.2726 0.4414
Pt3 Pt 0.0000 0.4489 0.2161
```

The 10 most intense peaks (10° ≤ 2θ ≤ 80°), low angle first:
2theta	I (rel.)	h k l
24.45	18	1 1 1
25.01	31	0 6 1
26.47	36	1 3 1
27.07	28	0 2 2
29.80	13	0 4 2
35.02	100	1 3 2
38.33	33	0 10 1
41.33	30	2 0 0
46.26	20	1 3 3
46.98	16	1 9 2

***

[5]
Structure and simulated powder XRD pattern of Ce6AlPt (a DFT-relaxed cell (GGA-PBE, Alexandria); Cu Ka).
Lines closer than 0.1° are merged.

```
data_Ce6AlPt
_chemical_formula_sum 'Ce12 Al2 Pt2'
_symmetry_space_group_name_H-M 'C 1 2/m 1'
_symmetry_Int_Tables_number 12
_cell_length_a 7.7381
_cell_length_b 9.4571
_cell_length_c 6.3717
_cell_angle_alpha 90.00
_cell_angle_beta 106.52
_cell_angle_gamma 90.00
loop_
_symmetry_equiv_pos_as_xyz
'x,y,z'
'-x,-y,-z'
'-x,y,-z'
'x,-y,z'
'x+1/2,y+1/2,z'
'-x+1/2,-y+1/2,-z'
'-x+1/2,y+1/2,-z'
'x+1/2,-y+1/2,z'
loop_
_atom_site_label
_atom_site_type_symbol
_atom_site_fract_x
_atom_site_fract_y
_atom_site_fract_z
Ce1 Ce 0.1314 0.2147 0.3092
Ce2 Ce 0.1770 0.5000 0.1134
Al1 Al 0.0000 0.5000 0.5000
Pt1 Pt 0.0000 0.0000 0.0000
```

The 10 most intense peaks (10° ≤ 2θ ≤ 80°), low angle first:
2theta	I (rel.)	h k l
23.80	100	0 2 1
24.27	78	2 0 -1
31.58	29	2 0 1
34.97	47	0 2 2
35.71	42	1 3 1
36.37	35	3 1 -1
37.57	63	2 2 -2
38.06	34	0 4 0
46.68	27	3 3 0
48.45	23	2 2 -3

***

[6]
Structure and simulated powder XRD pattern of CeAlZn2Pt4 (a DFT-relaxed cell (GGA-PBE, Alexandria); Cu Ka).
Lines closer than 0.1° are merged.

```
data_CeAlZn2Pt4
_chemical_formula_sum 'Ce3 Al3 Zn6 Pt12'
_symmetry_space_group_name_H-M 'R -3 m'
_symmetry_Int_Tables_number 166
_symmetry_space_group_name_Hall '-R 3 2"'
_cell_length_a 4.3333
_cell_length_b 4.3333
_cell_length_c 25.3657
_cell_angle_alpha 90.00
_cell_angle_beta 90.00
_cell_angle_gamma 120.00
loop_
_atom_site_label
_atom_site_type_symbol
_atom_site_fract_x
_atom_site_fract_y
_atom_site_fract_z
Ce1 Ce 0.0000 0.0000 0.0000
Al1 Al 0.0000 0.0000 0.5000
Zn1 Zn 0.0000 0.0000 0.2433
Pt1 Pt 0.0000 0.0000 0.1337
Pt2 Pt 0.0000 0.0000 0.4000
```

The 10 most intense peaks (10° ≤ 2θ ≤ 80°), low angle first:
2theta	I (rel.)	h k l
27.62	36	1 0 4
29.61	25	0 1 5
34.40	43	1 0 7
37.12	70	0 1 8
41.69	100	1 1 0
46.21	26	0 1 11
57.03	20	2 0 8
70.66	24	1 1 15
73.08	19	1 2 8
76.09	17	3 0 0

***

[7]
Structure and simulated powder XRD pattern of CePuAl6 (a DFT-relaxed cell (GGA-PBE, Alexandria); Cu Ka).
Lines closer than 0.1° are merged.

```
data_CePuAl6
_chemical_formula_sum 'Ce1 Pu1 Al6'
_symmetry_space_group_name_H-M 'P m m 2'
_symmetry_Int_Tables_number 25
_cell_length_a 4.4549
_cell_length_b 5.9712
_cell_length_c 6.0900
_cell_angle_alpha 90.00
_cell_angle_beta 90.00
_cell_angle_gamma 90.00
loop_
_symmetry_equiv_pos_as_xyz
'x,y,z'
'-x,-y,z'
'-x,y,z'
'x,-y,z'
loop_
_atom_site_label
_atom_site_type_symbol
_atom_site_fract_x
_atom_site_fract_y
_atom_site_fract_z
Ce1 Ce 0.0000 0.0000 0.0000
Pu1 Pu 0.5000 0.5000 0.7904
Al1 Al 0.0000 0.2518 0.5336
Al2 Al 0.0000 0.5000 0.1422
Al3 Al 0.5000 0.0000 0.6399
Al4 Al 0.5000 0.2591 0.2609
```

The 10 most intense peaks (10° ≤ 2θ ≤ 80°), low angle first:
2theta	I (rel.)	h k l
14.54	71	0 0 1
20.83	42	0 1 1
24.76	37	1 0 1
24.94	83	1 1 0
28.99	100	1 1 1
33.02	53	0 1 2
33.43	53	0 2 1
35.72	71	1 0 2
39.22	69	1 2 1
47.28	43	0 1 3

***

[8]
Structure and simulated powder XRD pattern of Ce5PuAl3 (a DFT-relaxed cell (GGA-PBE, Alexandria); Cu Ka).
Lines closer than 0.1° are merged.

```
data_Ce5PuAl3
_chemical_formula_sum 'Ce20 Pu4 Al12'
_symmetry_space_group_name_H-M 'I 4/m c m'
_symmetry_Int_Tables_number 140
_symmetry_space_group_name_Hall '-I 4 2c'
_cell_length_a 8.4155
_cell_length_b 8.4155
_cell_length_c 12.8447
_cell_angle_alpha 90.00
_cell_angle_beta 90.00
_cell_angle_gamma 90.00
loop_
_atom_site_label
_atom_site_type_symbol
_atom_site_fract_x
_atom_site_fract_y
_atom_site_fract_z
Ce1 Ce 0.0000 0.0000 0.0000
Ce2 Ce 0.1932 0.3068 0.1493
Pu1 Pu 0.0000 0.5000 0.2500
Al1 Al 0.0000 0.0000 0.2500
Al2 Al 0.1081 0.3919 0.5000
```

The 10 most intense peaks (10° ≤ 2θ ≤ 80°), low angle first:
2theta	I (rel.)	h k l
13.79	22	0 0 2
20.35	74	1 1 2
24.65	25	2 1 1
30.03	69	2 2 0
31.65	59	2 1 3
35.16	100	2 0 4
36.55	31	3 1 2
44.98	24	4 1 1
49.47	30	4 1 3
55.05	26	3 1 6

***

[9]
Structure and simulated powder XRD pattern of Ce3Pu3Al5 (a DFT-relaxed cell (GGA-PBE, Alexandria); Cu Ka).
Lines closer than 0.1° are merged.

```
data_Ce3Pu3Al5
_chemical_formula_sum 'Ce3 Pu3 Al5'
_symmetry_space_group_name_H-M 'P 1'
_symmetry_Int_Tables_number 1
_cell_length_a 5.6324
_cell_length_b 6.3281
_cell_length_c 7.5100
_cell_angle_alpha 103.80
_cell_angle_beta 102.90
_cell_angle_gamma 101.31
loop_
_symmetry_equiv_pos_as_xyz
'x,y,z'
loop_
_atom_site_label
_atom_site_type_symbol
_atom_site_fract_x
_atom_site_fract_y
_atom_site_fract_z
Ce1 Ce 0.0000 0.0000 0.0000
Ce2 Ce 0.2739 0.8220 0.6545
Ce3 Ce 0.6329 0.7742 0.1358
Pu1 Pu 0.1354 0.5245 0.1524
Pu2 Pu 0.3004 0.0843 0.3754
Pu3 Pu 0.4567 0.5455 0.4390
Al1 Al 0.2353 0.3494 0.7632
Al2 Al 0.5552 0.2500 0.0592
Al3 Al 0.7409 0.4088 0.7733
Al4 Al 0.8054 0.0039 0.5788
Al5 Al 0.8796 0.3253 0.4065
```

The 10 most intense peaks (10° ≤ 2θ ≤ 80°), low angle first:
2theta	I (rel.)	h k l
12.66	100	0 0 1
16.74	69	1 0 0
17.91	85	1 0 -1
23.79	32	1 0 1
32.42	69	1 -1 2
34.69	63	-1 2 1
35.88	62	1 2 -1
36.28	57	2 0 -2
37.53	39	2 -1 1
43.84	32	1 -1 3

***

[10]
Structure and simulated powder XRD pattern of Ce7Pu2Al2 (a DFT-relaxed cell (GGA-PBE, Alexandria); Cu Ka).
Lines closer than 0.1° are merged.

```
data_Ce7Pu2Al2
_chemical_formula_sum 'Ce14 Pu4 Al4'
_symmetry_space_group_name_H-M 'C 1 2/m 1'
_symmetry_Int_Tables_number 12
_cell_length_a 8.2293
_cell_length_b 8.4308
_cell_length_c 8.1833
_cell_angle_alpha 90.00
_cell_angle_beta 102.06
_cell_angle_gamma 90.00
loop_
_symmetry_equiv_pos_as_xyz
'x,y,z'
'-x,-y,-z'
'-x,y,-z'
'x,-y,z'
'x+1/2,y+1/2,z'
'-x+1/2,-y+1/2,-z'
'-x+1/2,y+1/2,-z'
'x+1/2,-y+1/2,z'
loop_
_atom_site_label
_atom_site_type_symbol
_atom_site_fract_x
_atom_site_fract_y
_atom_site_fract_z
Ce1 Ce 0.0000 0.0000 0.0000
Ce2 Ce 0.1419 0.0000 0.4286
Ce3 Ce 0.2360 0.2970 0.2067
Pu1 Pu 0.1078 0.5000 0.8607
Al1 Al 0.0000 0.3403 0.5000
```

The 10 most intense peaks (10° ≤ 2θ ≤ 80°), low angle first:
2theta	I (rel.)	h k l
11.06	34	0 0 1
20.17	36	1 1 1
30.76	64	2 2 0
34.34	33	2 2 1
34.65	72	3 1 -1
34.79	100	2 0 2
35.28	64	2 2 -2
36.40	63	1 3 1
50.25	22	4 2 0
59.78	22	1 3 4

***

[11]
Structure and simulated powder XRD pattern of Rb3Ce3AlSe8 (a DFT-relaxed cell (GGA-PBE, Alexandria); Cu Ka).
Lines closer than 0.1° are merged.

```
data_Rb3Ce3AlSe8
_chemical_formula_sum 'Rb9 Ce9 Al3 Se24'
_symmetry_space_group_name_H-M 'R -3 m'
_symmetry_Int_Tables_number 166
_symmetry_space_group_name_Hall '-R 3 2"'
_cell_length_a 8.4707
_cell_length_b 8.4707
_cell_length_c 24.4363
_cell_angle_alpha 90.00
_cell_angle_beta 90.00
_cell_angle_gamma 120.00
loop_
_atom_site_label
_atom_site_type_symbol
_atom_site_fract_x
_atom_site_fract_y
_atom_site_fract_z
Rb1 Rb 0.0000 0.5000 0.0000
Ce1 Ce 0.0000 0.5000 0.5000
Al1 Al 0.0000 0.0000 0.5000
Se1 Se 0.0000 0.0000 0.2333
Se2 Se 0.0287 0.5144 0.2272
```

The 10 most intense peaks (10° ≤ 2θ ≤ 80°), low angle first:
2theta	I (rel.)	h k l
10.86	38	0 0 3
14.08	11	0 1 2
28.38	100	0 2 4
35.51	21	0 2 7
38.35	30	2 0 8
42.70	35	2 2 0
44.53	9	0 0 12
47.87	10	2 0 11
52.07	17	4 0 4
69.53	13	2 4 4

***

[12]
Structure and simulated powder XRD pattern of Ce2AlRe3 (a DFT-relaxed cell (GGA-PBE, Alexandria); Cu Ka).
Lines closer than 0.1° are merged.

```
data_Ce2AlRe3
_chemical_formula_sum 'Ce4 Al2 Re6'
_symmetry_space_group_name_H-M 'C 1 2/m 1'
_symmetry_Int_Tables_number 12
_cell_length_a 9.3417
_cell_length_b 5.3854
_cell_length_c 5.5190
_cell_angle_alpha 90.00
_cell_angle_beta 124.43
_cell_angle_gamma 90.00
loop_
_symmetry_equiv_pos_as_xyz
'x,y,z'
'-x,-y,-z'
'-x,y,-z'
'x,-y,z'
'x+1/2,y+1/2,z'
'-x+1/2,-y+1/2,-z'
'-x+1/2,y+1/2,-z'
'x+1/2,-y+1/2,z'
loop_
_atom_site_label
_atom_site_type_symbol
_atom_site_fract_x
_atom_site_fract_y
_atom_site_fract_z
Ce1 Ce 0.1221 0.0000 0.3664
Al1 Al 0.0000 0.5000 0.5000
Re1 Re 0.0000 0.5000 0.0000
Re2 Re 0.2500 0.2500 0.0000
```

The 10 most intense peaks (10° ≤ 2θ ≤ 80°), low angle first:
2theta	I (rel.)	h k l
19.50	41	0 0 1
32.49	59	1 1 1
38.18	37	2 0 1
38.84	61	3 1 0
39.16	100	4 0 -1
39.60	19	0 0 2
40.87	59	2 2 0
62.00	24	4 0 1
68.08	18	2 2 2
69.80	26	0 4 0